This entry pairs a crystal structure of ZnNi3N with its computed X-ray powder pattern. Radiation: Cu Kα (weighted mean of Kα1 and Kα2). Structure: a DFT-relaxed cell (GGA-PBE, Alexandria).
Lines closer than 0.1° are merged.

Structural model:
Cell lengths 2.6574, 3.6768, 5.3985 Å; angles 90.00, 90.11, 90.00 degrees
Fractional positions:
1 Zn 0.0000 0.0000 0.0000
2 Ni 0.0000 0.0000 0.5000
3 Ni 0.4989 0.5000 0.2375
4 Ni 0.5011 0.5000 0.7625
5 N 0.0000 0.5000 0.5000

Main lines, sorted by position (2θ from 5° to 70°):
(0 1 2), d = 2.176 Å, 41.5 deg, intensity 1000
(1 1 0), d = 2.154 Å, 41.9 deg, intensity 982
(1 0 -2), d = 1.896 Å, 48.0 deg, intensity 387
(1 0 2), d = 1.892 Å, 48.1 deg, intensity 384
(0 2 0), d = 1.838 Å, 49.6 deg, intensity 353
(0 0 4), d = 1.350 Å, 69.7 deg, intensity 111